Structure and theoretical PXRD pattern of Li4Ce3ZrSe8 (DFT lattice parameters and positions (GGA-PBE); copper Kα).
Neutral-atom scattering factors, no anomalous dispersion.

Atomic structure:
Cell lengths 8.1815, 8.1815, 19.6031 Å; angles 90.00, 90.00, 120.00 degrees
Space group R-3m (No. 166, hexagonal axes)
Asymmetric unit:
Li  0.0000  0.0000  0.0000 x3
Li  0.0000  0.5000  0.0000 x9
Ce  0.0000  0.5000  0.5000 x9
Zr  0.0000  0.0000  0.5000 x3
Se  0.0000  0.0000  0.2551 x6
Se  0.0162  0.5081  0.2518 x18

Principal peaks in the range 5° ≤ 2θ ≤ 70°, by angle:
| 2theta | I_rel | hkl |
| --- | --- | --- |
| 13.6 | 37 | 0 0 3 |
| 25.6 | 31 | 0 2 1 |
| 31.2 | 100 | 0 2 4 |
| 34.1 | 17 | 2 0 5 |
| 41.1 | 6 | 0 2 7 |
| 44.3 | 37 | 2 2 0 |
| 45.0 | 35 | 2 0 8 |
| 46.5 | 10 | 2 2 3 |
| 55.1 | 19 | 4 0 4 |
| 56.3 | 6 | 0 0 12 |
| 62.3 | 7 | 2 2 9 |
| 65.0 | 11 | 0 4 8 |


Structure and theoretical PXRD pattern of PaCdH8Ru2 (DFT lattice parameters and positions (GGA-PBE); copper Kα).
Neutral-atom scattering factors, no anomalous dispersion.

Atomic structure:
Cell lengths 8.2827, 4.4184, 6.1887 Å; angles 90.00, 113.11, 90.00 degrees
Space group C2/m (No. 12)
Asymmetric unit:
Pa  0.0000  0.0000  0.0000 x2
Cd  0.0000  0.5000  0.5000 x2
H  0.0623  0.5000  0.1527 x4
H  0.1921  0.2515  0.8423 x8
H  0.2038  0.0000  0.3808 x4
Ru  0.2245  0.0000  0.6625 x4

Principal peaks in the range 5° ≤ 2θ ≤ 70°, by angle:
| 2theta | I_rel | hkl |
| --- | --- | --- |
| 23.3 | 23 | 1 1 0 |
| 25.4 | 14 | 1 1 -1 |
| 30.6 | 100 | 1 1 1 |
| 31.0 | 47 | 2 0 -2 |
| 35.4 | 21 | 1 1 -2 |
| 38.5 | 66 | 3 1 -1 |
| 40.8 | 28 | 0 2 0 |
| 47.8 | 15 | 4 0 0 |
| 49.2 | 21 | 1 1 -3 |
| 52.1 | 22 | 2 2 -2 |
| 64.6 | 15 | 4 2 0 |
| 68.1 | 16 | 6 0 -2 |


Structure and theoretical PXRD pattern of TaSi2Os (DFT lattice parameters and positions (GGA-PBE); copper Kα).
Neutral-atom scattering factors, no anomalous dispersion.

Atomic structure:
Cell lengths 3.1345, 3.1345, 5.8376 Å; angles 90.00, 90.00, 90.00 degrees
Space group P4mm (No. 99)
Asymmetric unit:
Ta  0.0000  0.0000  0.0000 x1
Si  0.0000  0.0000  0.5341 x1
Si  0.5000  0.5000  0.7679 x1
Os  0.5000  0.5000  0.3296 x1

Principal peaks in the range 5° ≤ 2θ ≤ 70°, by angle:
| 2theta | I_rel | hkl |
| --- | --- | --- |
| 15.2 | 39 | 0 0 1 |
| 30.6 | 11 | 0 0 2 |
| 32.4 | 100 | 1 0 1 |
| 40.7 | 63 | 1 1 0 |
| 42.3 | 90 | 1 0 2 |
| 43.7 | 12 | 1 1 1 |
| 46.7 | 13 | 0 0 3 |
| 51.8 | 10 | 1 1 2 |
| 58.9 | 22 | 2 0 0 |
| 61.2 | 5 | 2 0 1 |
| 63.6 | 22 | 1 1 3 |
| 68.9 | 24 | 2 1 1 |


Structure and theoretical PXRD pattern of Y2Al (DFT lattice parameters and positions (GGA-PBE); copper Kα).
Neutral-atom scattering factors, no anomalous dispersion.

Atomic structure:
Cell lengths 8.6928, 8.6928, 3.7122 Å; angles 90.00, 90.00, 120.00 degrees
Space group P-62m (No. 189)
Asymmetric unit:
Y  0.0000  0.2853  0.0000 x3
Y  0.0000  0.6173  0.5000 x3
Al  0.0000  0.0000  0.5000 x1
Al  0.3333  0.6667  0.0000 x2

Principal peaks in the range 5° ≤ 2θ ≤ 70°, by angle:
| 2theta | I_rel | hkl |
| --- | --- | --- |
| 20.4 | 22 | 1 1 0 |
| 31.4 | 29 | 2 1 0 |
| 31.7 | 100 | 1 1 1 |
| 33.9 | 25 | 2 0 1 |
| 35.8 | 45 | 3 0 0 |
| 43.3 | 9 | 3 1 0 |
| 48.5 | 15 | 2 2 1 |
| 49.1 | 10 | 0 0 2 |
| 50.1 | 9 | 3 1 1 |
| 59.0 | 19 | 3 2 1 |
| 59.5 | 9 | 2 1 2 |
| 62.2 | 17 | 3 0 2 |


Structure and theoretical PXRD pattern of Sm6Er7 (DFT lattice parameters and positions (GGA-PBE); copper Kα).
Neutral-atom scattering factors, no anomalous dispersion.

Atomic structure:
Cell lengths 6.5919, 6.5919, 34.9755 Å; angles 90.00, 90.00, 120.00 degrees
Space group R-3m (No. 166, hexagonal axes)
Asymmetric unit:
Sm  0.0000  0.0000  0.0474 x6
Sm  0.0000  0.0000  0.1501 x6
Sm  0.0000  0.0000  0.3333 x6
Er  0.0000  0.0000  0.5000 x3
Er  0.0020  0.5010  0.9126 x18

Principal peaks in the range 5° ≤ 2θ ≤ 70°, by angle:
| 2theta | I_rel | hkl |
| --- | --- | --- |
| 27.1 | 41 | 1 1 0 |
| 30.0 | 39 | 1 0 10 |
| 30.7 | 28 | 0 0 12 |
| 31.2 | 100 | 1 1 6 |
| 31.4 | 51 | 0 2 1 |
| 32.2 | 60 | 0 1 11 |
| 33.9 | 62 | 2 0 5 |
| 36.2 | 31 | 0 2 7 |
| 50.4 | 26 | 0 3 6 |
| 51.2 | 33 | 1 2 11 |
| 55.0 | 24 | 2 0 17 |
| 55.8 | 44 | 2 2 0 |


Structure and theoretical PXRD pattern of CePm3Th3Se8 (DFT lattice parameters and positions (GGA-PBE); copper Kα).
Neutral-atom scattering factors, no anomalous dispersion.

Atomic structure:
Cell lengths 8.3379, 8.3379, 20.6207 Å; angles 90.00, 90.00, 120.00 degrees
Space group R-3m (No. 166, hexagonal axes)
Asymmetric unit:
Ce  0.0000  0.0000  0.0000 x3
Pm  0.0000  0.5000  0.5000 x9
Th  0.0000  0.5000  0.0000 x9
Se  0.0000  0.0000  0.2488 x6
Se  0.0086  0.5043  0.2476 x18

Principal peaks in the range 5° ≤ 2θ ≤ 70°, by angle:
| 2theta | I_rel | hkl |
| --- | --- | --- |
| 12.9 | 8 | 0 0 3 |
| 15.0 | 8 | 0 1 2 |
| 25.0 | 7 | 0 2 1 |
| 25.9 | 5 | 0 0 6 |
| 26.2 | 15 | 2 0 2 |
| 30.2 | 100 | 0 2 4 |
| 43.1 | 38 | 2 0 8 |
| 43.4 | 37 | 2 2 0 |
| 51.3 | 5 | 2 2 6 |
| 53.3 | 7 | 0 0 12 |
| 53.8 | 20 | 4 0 4 |
| 62.8 | 12 | 0 4 8 |


Structure and theoretical PXRD pattern of La2NdSmP4 (DFT lattice parameters and positions (GGA-PBE); copper Kα).
Neutral-atom scattering factors, no anomalous dispersion.

Atomic structure:
Cell lengths 7.2832, 4.2085, 7.2867 Å; angles 90.00, 109.44, 90.00 degrees
Space group P2/m (No. 10)
Asymmetric unit:
La  0.0000  0.0000  0.0000 x1
La  0.5000  0.5000  0.0000 x1
Nd  0.0000  0.5000  0.5000 x1
Sm  0.5000  0.0000  0.5000 x1
P  0.2498  0.0000  0.7445 x2
P  0.2538  0.5000  0.2566 x2

Principal peaks in the range 5° ≤ 2θ ≤ 70°, by angle:
| 2theta | I_rel | hkl |
| --- | --- | --- |
| 25.9 | 78 | 2 0 0 |
| 30.0 | 100 | 1 1 1 |
| 43.0 | 74 | 2 0 2 |
| 50.9 | 39 | 1 1 3 |
| 53.3 | 26 | 4 0 0 |
| 62.4 | 12 | 2 2 2 |
| 68.8 | 16 | 2 0 4 |


Structure and theoretical PXRD pattern of PtSe4 (DFT lattice parameters and positions (GGA-PBE); copper Kα).
Neutral-atom scattering factors, no anomalous dispersion.

Atomic structure:
Cell lengths 7.0152, 5.0274, 6.9405 Å; angles 90.00, 93.26, 90.00 degrees
Space group P2_1/c (No. 14)
Asymmetric unit:
Pt  0.0000  0.0000  0.0000 x2
Se  0.1930  0.1997  0.2845 x4
Se  0.2734  0.6715  0.9925 x4

Principal peaks in the range 5° ≤ 2θ ≤ 70°, by angle:
| 2theta | I_rel | hkl |
| --- | --- | --- |
| 12.6 | 100 | 1 0 0 |
| 24.9 | 52 | 1 1 -1 |
| 25.7 | 34 | 0 0 2 |
| 33.2 | 37 | 2 1 -1 |
| 33.4 | 24 | 1 1 -2 |
| 34.3 | 22 | 2 1 1 |
| 34.5 | 31 | 1 1 2 |
| 44.4 | 32 | 2 2 0 |
| 45.6 | 16 | 3 0 -2 |
| 46.0 | 15 | 1 2 -2 |
| 52.8 | 14 | 0 0 4 |
| 56.5 | 14 | 0 3 1 |


Structure and theoretical PXRD pattern of CePr3Sm4 (DFT lattice parameters and positions (GGA-PBE); copper Kα).
Neutral-atom scattering factors, no anomalous dispersion.

Atomic structure:
Cell lengths 25.7736, 3.4815, 6.1999 Å; angles 90.00, 95.33, 90.00 degrees
Space group C2/m (No. 12)
Asymmetric unit:
Ce  0.0000  0.0000  0.0000 x2
Pr  0.0000  0.5000  0.5000 x2
Pr  0.1454  0.5000  0.7369 x4
Sm  0.1047  0.5000  0.2199 x4
Sm  0.2207  0.0000  0.2375 x4

Principal peaks in the range 5° ≤ 2θ ≤ 70°, by angle:
| 2theta | I_rel | hkl |
| --- | --- | --- |
| 25.8 | 43 | 1 1 0 |
| 27.8 | 52 | 8 0 0 |
| 28.9 | 41 | 0 0 2 |
| 29.1 | 65 | 2 0 -2 |
| 29.5 | 84 | 1 1 -1 |
| 30.2 | 67 | 8 0 -1 |
| 31.0 | 100 | 5 1 0 |
| 31.8 | 92 | 3 1 1 |
| 32.6 | 59 | 8 0 1 |
| 35.0 | 36 | 5 1 1 |
| 35.6 | 42 | 7 1 0 |
| 56.8 | 36 | 13 1 1 |


Structure and theoretical PXRD pattern of BaAgSnAu2 (DFT lattice parameters and positions (GGA-PBE); copper Kα).
Neutral-atom scattering factors, no anomalous dispersion.

Atomic structure:
Cell lengths 4.5431, 4.5431, 12.6158 Å; angles 90.00, 90.00, 90.00 degrees
Space group I-4m2 (No. 119)
Asymmetric unit:
Ba  0.0000  0.0000  0.0000 x2
Ag  0.0000  0.5000  0.2500 x2
Sn  0.0000  0.5000  0.7500 x2
Au  0.0000  0.0000  0.3892 x4

Principal peaks in the range 5° ≤ 2θ ≤ 70°, by angle:
| 2theta | I_rel | hkl |
| --- | --- | --- |
| 20.8 | 41 | 1 0 1 |
| 27.8 | 30 | 1 1 0 |
| 28.9 | 69 | 1 0 3 |
| 31.2 | 100 | 1 1 2 |
| 39.7 | 80 | 2 0 0 |
| 40.1 | 61 | 1 1 4 |
| 40.9 | 65 | 1 0 5 |
| 45.2 | 12 | 2 1 1 |
| 49.8 | 31 | 2 1 3 |
| 57.4 | 27 | 2 2 0 |
| 58.3 | 46 | 2 1 5 |
| 66.8 | 22 | 3 1 2 |


Structure and theoretical PXRD pattern of Rb2SrTiO4 (DFT lattice parameters and positions (GGA-PBE); copper Kα).
Neutral-atom scattering factors, no anomalous dispersion.

Atomic structure:
Cell lengths 6.1459, 12.6603, 24.3021 Å; angles 90.00, 90.00, 90.00 degrees
Space group Fddd (No. 70, origin choice 2)
Asymmetric unit:
Rb  0.1250  0.1250  0.3239 x16
Sr  0.1250  0.1250  0.1250 x8
Ti  0.1250  0.1250  0.6250 x8
O  0.0678  0.2870  0.8388 x32

Principal peaks in the range 5° ≤ 2θ ≤ 70°, by angle:
| 2theta | I_rel | hkl |
| --- | --- | --- |
| 14.6 | 100 | 0 0 4 |
| 19.4 | 18 | 1 1 3 |
| 24.4 | 32 | 1 1 5 |
| 26.1 | 38 | 0 2 6 |
| 28.2 | 27 | 0 4 0 |
| 31.6 | 42 | 1 3 5 |
| 32.4 | 43 | 2 2 0 |
| 35.7 | 24 | 2 2 4 |
| 39.7 | 25 | 0 2 10 |
| 47.7 | 20 | 2 0 10 |
| 52.6 | 16 | 2 6 0 |
| 56.3 | 22 | 2 4 10 |


Structure and theoretical PXRD pattern of ScZn2Se (DFT lattice parameters and positions (GGA-PBE); copper Kα).
Neutral-atom scattering factors, no anomalous dispersion.

Atomic structure:
Cell lengths 5.2678, 5.4343, 10.9119 Å; angles 90.00, 90.00, 90.00 degrees
Space group Fmmm (No. 69)
Asymmetric unit:
Sc  0.0000  0.0000  0.0000 x4
Zn  0.2500  0.0000  0.2500 x8
Se  0.0000  0.0000  0.5000 x4

Principal peaks in the range 5° ≤ 2θ ≤ 70°, by angle:
| 2theta | I_rel | hkl |
| --- | --- | --- |
| 24.9 | 10 | 1 1 1 |
| 32.8 | 75 | 0 0 4 |
| 33.0 | 74 | 0 2 0 |
| 34.2 | 5 | 1 1 3 |
| 37.9 | 100 | 2 0 2 |
| 47.2 | 52 | 0 2 4 |
| 48.1 | 2 | 1 1 5 |
| 51.1 | 82 | 2 2 2 |
| 54.2 | 1 | 1 3 1 |
| 62.0 | 22 | 2 0 6 |
| 68.8 | 8 | 0 0 8 |
| 69.1 | 8 | 0 4 0 |


Structure and theoretical PXRD pattern of Y3C (DFT lattice parameters and positions (GGA-PBE); copper Kα).
Neutral-atom scattering factors, no anomalous dispersion.

Atomic structure:
Cell lengths 5.0618, 11.5751, 3.5916 Å; angles 90.00, 90.00, 90.00 degrees
Space group Cmmm (No. 65)
Asymmetric unit:
Y  0.0000  0.0000  0.0000 x2
Y  0.0000  0.3557  0.5000 x4
C  0.0000  0.5000  0.0000 x2

Principal peaks in the range 5° ≤ 2θ ≤ 70°, by angle:
| 2theta | I_rel | hkl |
| --- | --- | --- |
| 15.3 | 15 | 0 2 0 |
| 29.1 | 100 | 1 3 0 |
| 29.3 | 35 | 0 2 1 |
| 31.5 | 99 | 1 1 1 |
| 35.5 | 39 | 2 0 0 |
| 40.0 | 47 | 0 4 1 |
| 46.6 | 18 | 2 2 1 |
| 50.8 | 13 | 0 0 2 |
| 54.5 | 37 | 2 4 1 |
| 59.7 | 25 | 1 3 2 |
| 61.2 | 14 | 3 1 1 |
| 64.7 | 22 | 1 7 1 |


Structure and theoretical PXRD pattern of LiTm2Pd3 (DFT lattice parameters and positions (GGA-PBE); copper Kα).
Neutral-atom scattering factors, no anomalous dispersion.

Atomic structure:
Cell lengths 4.7779, 4.7779, 11.4645 Å; angles 90.00, 90.00, 120.00 degrees
Space group P-3m1 (No. 164)
Asymmetric unit:
Li  0.3333  0.6667  0.1659 x2
Tm  0.0000  0.0000  0.0000 x1
Tm  0.0000  0.0000  0.5000 x1
Tm  0.3333  0.6667  0.6841 x2
Pd  0.0000  0.0000  0.2487 x2
Pd  0.3333  0.6667  0.4169 x2
Pd  0.3333  0.6667  0.9285 x2

Principal peaks in the range 5° ≤ 2θ ≤ 70°, by angle:
| 2theta | I_rel | hkl |
| --- | --- | --- |
| 7.7 | 10 | 0 0 1 |
| 22.8 | 26 | 1 0 1 |
| 23.3 | 8 | 0 0 3 |
| 31.9 | 8 | 1 0 3 |
| 37.7 | 100 | 1 1 0 |
| 38.2 | 90 | 1 0 4 |
| 44.7 | 8 | 1 1 3 |
| 49.7 | 7 | 1 1 4 |
| 54.7 | 32 | 0 2 4 |
| 68.0 | 17 | 3 0 0 |
| 68.3 | 32 | 2 1 4 |
| 69.4 | 16 | 0 1 8 |